This entry pairs a crystal structure of V3Ga2O8 with its calculated powder diffractogram. Radiation: Cu Kα X-rays. Structure: a crystal structure in Alexandria, relaxed with PBE+U.

Crystal structure
```
data_V3Ga2O8
_cell_length_a 6.057
_cell_length_b 11.580
_cell_length_c 8.358
_cell_angle_alpha 90.00
_cell_angle_beta 90.00
_cell_angle_gamma 90.00
_space_group_name_H-M_alt 'C m c e'
_space_group_IT_number 64
_space_group_name_Hall '-C 2ac 2'
loop_
_atom_site_label
_atom_site_type_symbol
_atom_site_fract_x
_atom_site_fract_y
_atom_site_fract_z
V1 V 0.000 0.000 0.000
V2 V 0.250 0.137 0.250
Ga1 Ga 0.000 0.121 0.612
O1 O 0.000 0.010 0.247
O2 O 0.000 0.247 0.238
O3 O 0.248 0.117 0.018
```

The 10 most intense peaks (15° ≤ 2θ ≤ 90°), low angle first:
2θ (°), I_rel, index
27.04, 574, 1 1 2
29.45, 732, 1 3 1
30.89, 338, 0 4 0
34.94, 298, 1 3 2
35.12, 1000, 2 2 1
35.76, 543, 0 2 3
36.33, 252, 1 1 3
43.21, 383, 1 5 1
57.73, 372, 2 6 1
62.85, 637, 2 4 4